# 1
Diffraction record for CeNd2Hg6. The XRD peak list is computed, not measured: it uses a cell relaxed with PBE and Cu Kα X-rays.
Lines closer than 0.1° are merged.

Cell and atoms:
```
CeNd2Hg6
1.0
8.7922 0.0000 0.0000
-4.3961 7.6142 0.0000
0.0000 0.0000 3.4504
Ce Nd Hg
1 2 6
direct
0.0000 0.0000 0.0000
0.3333 0.6667 0.0000
0.6667 0.3333 0.0000
0.0000 0.3335 0.5000
0.0000 0.6665 0.5000
0.3335 0.0000 0.5000
0.3335 0.3335 0.5000
0.6665 0.0000 0.5000
0.6665 0.6665 0.5000
```

Peak list (10 most intense, 2θ from 5° to 70°, most intense first)
| 2θ (°) | d_spacing | I/Imax |
| --- | --- | --- |
| 35.36 | 2.538 | 100 |
| 33.00 | 2.714 | 96 |
| 65.41 | 1.427 | 34 |
| 61.99 | 1.497 | 32 |
| 49.15 | 1.854 | 32 |
| 44.30 | 2.045 | 25 |
| 63.48 | 1.465 | 19 |
| 25.82 | 3.450 | 16 |
| 53.09 | 1.725 | 11 |
| 69.72 | 1.349 | 7 |

# 2
Diffraction record for PuSiS3. The XRD peak list is computed, not measured: it uses a cell relaxed with PBE and Cu Kα X-rays.
Lines closer than 0.1° are merged.

Cell and atoms:
```
PuSiS3
1.0
7.5549 0.0000 0.0000
0.0000 6.4269 0.0000
0.0000 0.0000 8.5888
Pu Si S
4 4 12
direct
0.1079 0.0294 0.0000
0.3921 0.5294 0.5000
0.6079 0.4706 0.0000
0.8921 0.9706 0.5000
0.0710 0.5273 0.2236
0.4290 0.0273 0.7236
0.5710 0.9727 0.2236
0.9290 0.4727 0.7236
0.0310 0.3910 0.4809
0.1712 0.8267 0.2954
0.1923 0.8378 0.6905
0.3077 0.3378 0.1905
0.3288 0.3267 0.7954
0.4690 0.8910 0.9809
0.5310 0.1090 0.4809
0.6712 0.6733 0.2954
0.6923 0.6622 0.6905
0.8077 0.1622 0.1905
0.8288 0.1733 0.7954
0.9690 0.6090 0.9809
```

Peak list (10 most intense, 2θ from 5° to 70°, most intense first)
| 2θ (°) | d_spacing | I/Imax |
| --- | --- | --- |
| 20.89 | 4.253 | 100 |
| 27.63 | 3.228 | 75 |
| 18.12 | 4.895 | 69 |
| 25.76 | 3.458 | 67 |
| 38.24 | 2.354 | 58 |
| 39.85 | 2.262 | 50 |
| 49.00 | 1.859 | 45 |
| 20.68 | 4.294 | 45 |
| 36.35 | 2.471 | 43 |
| 34.87 | 2.573 | 38 |

# 3
Diffraction record for TaGaCo2H. The XRD peak list is computed, not measured: it uses a cell relaxed with PBE and Cu Kα X-rays.
Lines closer than 0.1° are merged.

Cell and atoms:
```
TaGaCo2H
1.0
1.3906 -5.8592 0.0000
1.3906 5.8592 0.0000
0.0000 0.0000 6.8333
Ta Ga Co H
2 2 4 2
direct
0.0228 0.9772 0.7500
0.9772 0.0228 0.2500
0.2593 0.7407 0.2500
0.7407 0.2593 0.7500
0.3640 0.6360 0.5505
0.3640 0.6360 0.9495
0.6360 0.3640 0.0505
0.6360 0.3640 0.4495
0.5000 0.5000 0.0000
0.5000 0.5000 0.5000
```

Peak list (10 most intense, 2θ from 5° to 70°, most intense first)
| 2θ (°) | d_spacing | I/Imax |
| --- | --- | --- |
| 42.61 | 2.122 | 100 |
| 40.56 | 2.224 | 82 |
| 39.79 | 2.266 | 67 |
| 42.01 | 2.151 | 42 |
| 15.12 | 5.859 | 31 |
| 26.08 | 3.417 | 29 |
| 30.28 | 2.952 | 22 |
| 48.48 | 1.878 | 19 |
| 66.63 | 1.404 | 16 |
| 53.65 | 1.708 | 15 |

# 4
Diffraction record for PmP2Pd7. The XRD peak list is computed, not measured: it uses a cell relaxed with PBE and Cu Kα X-rays.
Lines closer than 0.1° are merged.

Cell and atoms:
```
PmP2Pd7
1.0
-2.0369 2.0369 10.0410
2.0369 -2.0369 10.0410
2.0369 2.0369 -10.0410
Pm P Pd
1 2 7
direct
0.0000 0.0000 0.0000
0.3237 0.3237 0.0000
0.6763 0.6763 0.0000
0.1103 0.6103 0.5000
0.2500 0.7500 0.5000
0.3897 0.8897 0.5000
0.5000 0.5000 0.0000
0.6103 0.1103 0.5000
0.7500 0.2500 0.5000
0.8897 0.3897 0.5000
```

Peak list (10 most intense, 2θ from 5° to 70°, most intense first)
| 2θ (°) | d_spacing | I/Imax |
| --- | --- | --- |
| 41.35 | 2.183 | 100 |
| 44.48 | 2.037 | 66 |
| 35.94 | 2.499 | 47 |
| 32.33 | 2.769 | 44 |
| 35.77 | 2.510 | 36 |
| 58.34 | 1.582 | 34 |
| 31.05 | 2.881 | 21 |
| 64.72 | 1.440 | 21 |
| 48.08 | 1.892 | 12 |
| 8.81 | 10.041 | 10 |

# 5
Diffraction record for Y4SnTe2. The XRD peak list is computed, not measured: it uses a cell relaxed with PBE and Cu Kα X-rays.
Lines closer than 0.1° are merged.

Cell and atoms:
```
Y4SnTe2
1.0
-4.7969 4.7969 4.6827
4.7969 -4.7969 4.6827
4.7969 4.7969 -4.6827
Y Sn Te
8 2 4
direct
0.1811 0.2412 0.5601
0.1811 0.6209 0.9399
0.2412 0.1811 0.0601
0.3791 0.8189 0.5601
0.6209 0.1811 0.4399
0.7588 0.8189 0.9399
0.8189 0.3791 0.0601
0.8189 0.7588 0.4399
0.1250 0.8750 0.2500
0.8750 0.1250 0.7500
0.0000 0.5000 0.5000
0.5000 0.0000 0.0000
0.5000 0.5000 0.0000
0.5000 0.5000 0.5000
```

Peak list (10 most intense, 2θ from 5° to 70°, most intense first)
| 2θ (°) | d_spacing | I/Imax |
| --- | --- | --- |
| 30.10 | 2.969 | 100 |
| 35.06 | 2.560 | 76 |
| 26.27 | 3.392 | 68 |
| 37.50 | 2.398 | 54 |
| 40.38 | 2.234 | 32 |
| 35.25 | 2.546 | 31 |
| 18.50 | 4.797 | 30 |
| 44.49 | 2.036 | 29 |
| 56.28 | 1.635 | 26 |
| 29.52 | 3.026 | 23 |

# 6
Diffraction record for Tl4HgPb2. The XRD peak list is computed, not measured: it uses a cell relaxed with PBE and Cu Kα X-rays.
Lines closer than 0.1° are merged.

Cell and atoms:
```
Tl4HgPb2
1.0
7.3581 0.0000 0.0000
0.0000 11.1984 0.0000
0.0000 0.0000 5.5967
Tl Hg Pb
8 2 4
direct
0.2480 0.0006 0.0000
0.2486 0.7535 0.5000
0.2514 0.2535 0.5000
0.2520 0.5006 0.0000
0.7480 0.4994 0.0000
0.7486 0.7465 0.5000
0.7514 0.2465 0.5000
0.7520 0.9994 0.0000
0.0000 0.5000 0.5000
0.5000 0.0000 0.5000
0.0004 0.2499 0.0000
0.9996 0.7501 0.0000
0.5004 0.2501 0.0000
0.4996 0.7499 0.0000
```

Peak list (10 most intense, 2θ from 5° to 70°, most intense first)
| 2θ (°) | d_spacing | I/Imax |
| --- | --- | --- |
| 33.25 | 2.695 | 100 |
| 31.98 | 2.799 | 55 |
| 57.80 | 1.595 | 42 |
| 45.85 | 1.979 | 21 |
| 60.20 | 1.537 | 19 |
| 69.80 | 1.347 | 12 |
| 49.55 | 1.840 | 8 |
| 14.40 | 6.149 | 7 |
| 66.85 | 1.399 | 7 |
| 15.83 | 5.598 | 6 |